Diffraction record for Pr2In3Au2. The X-ray powder pattern is calculated, not measured: it uses a PBE-relaxed structure and Cu Kα, 1.54184 Å.

Structure:
```
Pr2In3Au2
1.0
4.694 0.000 0.000
0.000 20.853 0.000
0.000 0.000 3.761
Pr In Au
4 6 4
Direct
0.000 0.165 0.000
0.000 0.835 0.000
0.500 0.335 0.000
0.500 0.665 0.000
0.000 0.000 0.000
0.000 0.428 0.500
0.000 0.572 0.500
0.500 0.072 0.500
0.500 0.500 0.000
0.500 0.928 0.500
0.000 0.290 0.500
0.000 0.710 0.500
0.500 0.210 0.500
0.500 0.790 0.500
```

Most intense lines, 2θ = 15–90°, sorted by position:
30.76 deg, rel. 1000, hkl 1 1 1; 33.13 deg, rel. 376, hkl 1 3 1; 35.16 deg, rel. 441, hkl 0 6 1; 35.70 deg, rel. 841, hkl 1 7 0; 37.47 deg, rel. 406, hkl 1 5 1; 38.35 deg, rel. 451, hkl 2 0 0; 48.40 deg, rel. 231, hkl 0 0 2; 53.00 deg, rel. 268, hkl 2 6 1; 61.58 deg, rel. 342, hkl 1 7 2; 63.38 deg, rel. 205, hkl 2 0 2